[1]
Structure and simulated powder diffraction line list of MnH (a PBE-relaxed structure; λ = 1.5418 Å (Cu Kα)).
Lines closer than 0.1° are merged.

The 5 most intense peaks (2θ = 10–80°), sorted by position:
(0 0 2), 2θ = 35.2°, 2.551 Å, rel. 47
(1 0 0), 2θ = 40.0°, 2.253 Å, rel. 100
(1 0 2), 2θ = 54.3°, 1.689 Å, rel. 79
(1 1 0), 2θ = 72.7°, 1.301 Å, rel. 15
(0 0 4), 2θ = 74.4°, 1.276 Å, rel. 5

Cell and atoms:
```
data_MnH
_chemical_formula_sum 'Mn2 H2'
_cell_length_a 2.6018
_cell_length_b 2.6018
_cell_length_c 5.1025
_cell_angle_alpha 90.00
_cell_angle_beta 90.00
_cell_angle_gamma 120.00
_symmetry_space_group_name_H-M 'P 63/m m c'
_symmetry_Int_Tables_number 194
_symmetry_space_group_name_Hall '-P 6c 2c'
loop_
_atom_site_label
_atom_site_fract_x
_atom_site_fract_y
_atom_site_fract_z
Mn1 0.0000 0.0000 0.0000
H1 0.3333 0.6667 0.2500
```

=====

[2]
Structure and simulated powder diffraction line list of Na2BrCl (a PBE-relaxed structure; λ = 1.5418 Å (Cu Kα)).
Lines closer than 0.1° are merged.

The 10 most intense peaks (2θ = 10–80°), sorted by position:
(0 0 3), 2θ = 13.1°, 6.780 Å, rel. 14
(1 0 1), 2θ = 25.2°, 3.540 Å, rel. 12
(0 0 6), 2θ = 26.3°, 3.390 Å, rel. 34
(1 0 4), 2θ = 30.5°, 2.936 Å, rel. 100
(0 1 5), 2θ = 33.3°, 2.694 Å, rel. 7
(1 1 0), 2θ = 43.6°, 2.076 Å, rel. 70
(1 0 10), 2θ = 51.6°, 1.770 Å, rel. 14
(0 2 4), 2θ = 54.1°, 1.695 Å, rel. 24
(2 0 8), 2θ = 63.4°, 1.468 Å, rel. 11
(2 1 4), 2θ = 71.9°, 1.313 Å, rel. 29

Cell and atoms:
```
data_Na2BrCl
_chemical_formula_sum 'Na6 Br3 Cl3'
_cell_length_a 4.1511
_cell_length_b 4.1511
_cell_length_c 20.3411
_cell_angle_alpha 90.00
_cell_angle_beta 90.00
_cell_angle_gamma 120.00
_symmetry_space_group_name_H-M 'R -3 m'
_symmetry_Int_Tables_number 166
_symmetry_space_group_name_Hall '-R 3 2"'
loop_
_atom_site_label
_atom_site_fract_x
_atom_site_fract_y
_atom_site_fract_z
Na1 0.0000 0.0000 0.2464
Br1 0.0000 0.0000 0.0000
Cl1 0.0000 0.0000 0.5000
```

=====

[3]
Structure and simulated powder diffraction line list of LiCaAs (a PBE-relaxed structure; λ = 1.5418 Å (Cu Kα)).
Lines closer than 0.1° are merged.

The 10 most intense peaks (2θ = 10–80°), sorted by position:
(1 0 2), 2θ = 25.6°, 3.477 Å, rel. 68
(1 1 1), 2θ = 26.4°, 3.370 Å, rel. 94
(1 1 2), 2θ = 33.0°, 2.713 Å, rel. 20
(2 0 2), 2θ = 33.5°, 2.676 Å, rel. 22
(2 1 1), 2θ = 34.1°, 2.626 Å, rel. 100
(0 1 3), 2θ = 40.0°, 2.256 Å, rel. 45
(0 2 0), 2θ = 41.6°, 2.169 Å, rel. 30
(3 0 2), 2θ = 43.8°, 2.065 Å, rel. 20
(3 1 1), 2θ = 44.4°, 2.042 Å, rel. 21
(1 2 2), 2θ = 49.5°, 1.840 Å, rel. 22

Cell and atoms:
```
data_LiCaAs
_chemical_formula_sum 'Li4 Ca4 As4'
_cell_length_a 7.2598
_cell_length_b 4.3380
_cell_length_c 7.9227
_cell_angle_alpha 90.00
_cell_angle_beta 90.00
_cell_angle_gamma 90.00
_symmetry_space_group_name_H-M 'P n m a'
_symmetry_Int_Tables_number 62
loop_
_symmetry_equiv_pos_as_xyz
'x,y,z'
'-x,-y,-z'
'-x+1/2,-y,z+1/2'
'x+1/2,y,-z+1/2'
'x+1/2,-y+1/2,-z+1/2'
'-x+1/2,y+1/2,z+1/2'
'-x,y+1/2,-z'
'x,-y+1/2,z'
loop_
_atom_site_label
_atom_site_fract_x
_atom_site_fract_y
_atom_site_fract_z
Li1 0.1489 0.2500 0.0689
Ca1 0.0140 0.2500 0.6980
As1 0.2314 0.7500 0.8976
```